# MnAgClF2
Theoretical powder diffraction line list, Cu Kα (weighted mean of Kα1 and Kα2). Input: a crystal structure in Alexandria, relaxed with GGA+U.
Intensities are scaled so that the largest is 100.

Largest 10 diffraction maxima, low angle first, 2θ = 10–80°:
| Position (°2θ) | I/Imax | hkl |
| --- | --- | --- |
| 15.7 | 26 | 0 0 2 |
| 27.5 | 100 | 1 1 2 |
| 31.6 | 33 | 0 0 4 |
| 31.9 | 58 | 2 0 0 |
| 35.7 | 33 | 2 0 2 |
| 39.1 | 24 | 1 1 4 |
| 45.5 | 36 | 2 0 4 |
| 45.7 | 33 | 2 2 0 |
| 54.2 | 33 | 3 1 2 |
| 56.7 | 20 | 2 2 4 |

Atomic structure:
Lattice parameters (Å, degrees): 5.610 5.610 11.320 90.00 90.00 90.00
Space group I4cm (No. 108)
Inequivalent atoms, fractional coordinates:
1 Mn 0.000 0.000 0.000
2 Ag 0.000 0.500 0.286
3 Cl 0.000 0.000 0.225
4 F 0.191 0.309 0.465